Entry 1:
For ZrHgSe2, a cell relaxed with GGA-PBE gives the computed powder X-ray diffraction pattern in this record (CuKα).
Neutral-atom scattering factors, no anomalous dispersion.

Most intense lines, 10 to 90 degrees two-theta, low angle first:
4.750 Å, intensity 1000; 3.624 Å, intensity 462; 3.359 Å, intensity 572; 3.083 Å, intensity 294; 3.004 Å, intensity 365; 2.802 Å, intensity 839; 2.414 Å, intensity 433; 2.124 Å, intensity 377; 1.960 Å, intensity 546; 1.812 Å, intensity 311

Crystal structure
Cell: 9.5009 9.5009 6.9404 Å, 90.00 90.00 90.00°
Fractional positions:
Zr  0.0000  0.5000  0.2500
Zr  0.0000  0.5000  0.7500
Zr  0.5000  0.0000  0.2500
Zr  0.5000  0.0000  0.7500
Hg  0.0000  0.0000  0.2500
Hg  0.0000  0.0000  0.7500
Hg  0.5000  0.5000  0.2500
Hg  0.5000  0.5000  0.7500
Se  0.1410  0.3590  0.0000
Se  0.1410  0.6410  0.5000
Se  0.3590  0.1410  0.5000
Se  0.3590  0.8590  0.0000
Se  0.6410  0.1410  0.0000
Se  0.6410  0.8590  0.5000
Se  0.8590  0.3590  0.5000
Se  0.8590  0.6410  0.0000

***

Entry 2:
For Zr4HgSe8, a cell relaxed with GGA-PBE gives the computed powder X-ray diffraction pattern in this record (CuKα).
Neutral-atom scattering factors, no anomalous dispersion.

Most intense lines, 10 to 90 degrees two-theta, low angle first:
6.389 Å, intensity 189; 5.899 Å, intensity 158; 2.950 Å, intensity 1000; 2.488 Å, intensity 248; 2.339 Å, intensity 273; 1.949 Å, intensity 150; 1.900 Å, intensity 314; 1.645 Å, intensity 113; 1.597 Å, intensity 148; 1.223 Å, intensity 124

Crystal structure
Cell: 9.8922 9.8922 9.8922 Å, 45.18 45.18 45.18°
Fractional positions:
Zr  0.0000  0.0000  0.0000
Zr  0.0000  0.5000  0.5000
Zr  0.5000  0.0000  0.5000
Zr  0.5000  0.5000  0.0000
Hg  0.5000  0.5000  0.5000
Se  0.2268  0.2268  0.7265
Se  0.2268  0.7265  0.2268
Se  0.2734  0.2734  0.2734
Se  0.2735  0.7732  0.7732
Se  0.7265  0.2268  0.2268
Se  0.7266  0.7266  0.7266
Se  0.7732  0.2735  0.7732
Se  0.7732  0.7732  0.2735

***

Entry 3:
For ZrHg2Se, a cell relaxed with GGA-PBE gives the computed powder X-ray diffraction pattern in this record (CuKα).
Neutral-atom scattering factors, no anomalous dispersion.

Most intense lines, 10 to 90 degrees two-theta, low angle first:
7.497 Å, intensity 109; 3.177 Å, intensity 301; 2.561 Å, intensity 1000; 2.499 Å, intensity 104; 2.480 Å, intensity 519; 1.760 Å, intensity 147; 1.754 Å, intensity 183; 1.495 Å, intensity 133; 1.447 Å, intensity 345; 1.379 Å, intensity 114

Crystal structure
Cell: 3.5073 3.5073 7.4973 Å, 90.00 90.00 90.00°
Fractional positions:
Zr  0.0000  0.0000  0.0000
Hg  0.0000  0.0000  0.5474
Hg  0.5000  0.5000  0.2708
Se  0.5000  0.5000  0.8437

***

Entry 4:
For Si3Hg2, a cell relaxed with GGA-PBE gives the computed powder X-ray diffraction pattern in this record (CuKα).
Neutral-atom scattering factors, no anomalous dispersion.

Most intense lines, 10 to 90 degrees two-theta, low angle first:
5.489 Å, intensity 680; 2.930 Å, intensity 836; 2.746 Å, intensity 1000; 2.247 Å, intensity 152; 2.192 Å, intensity 145; 2.154 Å, intensity 275; 1.880 Å, intensity 175; 1.653 Å, intensity 140; 1.618 Å, intensity 134; 1.466 Å, intensity 166

Crystal structure
Cell: 6.6486 6.6486 6.9314 Å, 121.40 121.40 62.84°
Fractional positions:
Si  0.0000  0.0000  0.0000
Si  0.3330  0.1686  0.8328
Si  0.6647  0.3353  0.5000
Si  0.7073  0.0423  0.1250
Si  0.8314  0.6670  0.1672
Si  0.9577  0.2927  0.8750
Hg  0.2765  0.7235  0.5000
Hg  0.3319  0.1686  0.4450
Hg  0.3860  0.6140  0.0000
Hg  0.8314  0.6681  0.5550

***

Entry 5:
For Si7Hg5, a cell relaxed with GGA-PBE gives the computed powder X-ray diffraction pattern in this record (CuKα).
Neutral-atom scattering factors, no anomalous dispersion.

Most intense lines, 10 to 90 degrees two-theta, low angle first:
5.976 Å, intensity 271; 5.440 Å, intensity 515; 3.554 Å, intensity 273; 3.337 Å, intensity 373; 2.988 Å, intensity 274; 2.720 Å, intensity 798; 2.619 Å, intensity 1000; 2.226 Å, intensity 362; 1.992 Å, intensity 261; 1.667 Å, intensity 318

Crystal structure
Cell: 6.9530 6.9530 6.9530 Å, 105.14 105.14 118.52°
Fractional positions:
Si  0.0000  0.0000  0.0000
Si  0.1611  0.6611  0.5000
Si  0.2177  0.9137  0.3041
Si  0.6096  0.9137  0.6959
Si  0.6611  0.1611  0.5000
Si  0.9137  0.2177  0.3041
Si  0.9137  0.6096  0.6959
Hg  0.1671  0.1671  0.6305
Hg  0.1671  0.5366  0.0000
Hg  0.5366  0.1671  0.0000
Hg  0.5366  0.5366  0.3695
Hg  0.6313  0.6313  0.0000

***

Entry 6:
For SiHg3, a cell relaxed with GGA-PBE gives the computed powder X-ray diffraction pattern in this record (CuKα).
Neutral-atom scattering factors, no anomalous dispersion.

Most intense lines, 10 to 90 degrees two-theta, low angle first:
7.273 Å, intensity 205; 7.189 Å, intensity 229; 3.636 Å, intensity 516; 3.334 Å, intensity 513; 2.789 Å, intensity 234; 2.612 Å, intensity 1000; 2.596 Å, intensity 571; 2.424 Å, intensity 224; 2.083 Å, intensity 342; 1.529 Å, intensity 205

Crystal structure
Cell: 8.4311 14.3778 3.7544 Å, 90.00 90.00 90.00°
Fractional positions:
Si  0.0000  0.0446  0.2500
Si  0.0000  0.9554  0.7500
Si  0.5000  0.4554  0.7500
Si  0.5000  0.5446  0.2500
Hg  0.0000  0.4048  0.2500
Hg  0.0000  0.5952  0.7500
Hg  0.2095  0.1746  0.2500
Hg  0.2095  0.8254  0.7500
Hg  0.2905  0.3254  0.7500
Hg  0.2905  0.6746  0.2500
Hg  0.5000  0.0952  0.7500
Hg  0.5000  0.9048  0.2500
Hg  0.7095  0.3254  0.7500
Hg  0.7095  0.6746  0.2500
Hg  0.7905  0.1746  0.2500
Hg  0.7905  0.8254  0.7500

***

Entry 7:
For Si23Hg3, a cell relaxed with GGA-PBE gives the computed powder X-ray diffraction pattern in this record (CuKα).
Neutral-atom scattering factors, no anomalous dispersion.

Most intense lines, 10 to 90 degrees two-theta, low angle first:
7.249 Å, intensity 494; 4.585 Å, intensity 1000; 2.959 Å, intensity 852; 2.843 Å, intensity 928; 2.740 Å, intensity 762; 2.563 Å, intensity 329; 2.237 Å, intensity 323; 1.904 Å, intensity 408; 1.758 Å, intensity 391; 1.663 Å, intensity 312

Crystal structure
Cell: 10.2515 10.2515 10.2515 Å, 90.00 90.00 90.00°
Fractional positions:
Si  0.0000  0.1173  0.3075
Si  0.0000  0.1173  0.6925
Si  0.0000  0.2500  0.5000
Si  0.0000  0.7500  0.5000
Si  0.0000  0.8827  0.3075
Si  0.0000  0.8827  0.6925
Si  0.1173  0.3075  0.0000
Si  0.1173  0.6925  0.0000
Si  0.1838  0.1838  0.1838
Si  0.1838  0.1838  0.8162
Si  0.1838  0.8162  0.1838
Si  0.1838  0.8162  0.8162
Si  0.1925  0.3827  0.5000
Si  0.1925  0.6173  0.5000
Si  0.2500  0.5000  0.0000
Si  0.3075  0.0000  0.1173
Si  0.3075  0.0000  0.8827
Si  0.3162  0.3162  0.3162
Si  0.3162  0.3162  0.6838
Si  0.3162  0.6838  0.3162
Si  0.3162  0.6838  0.6838
Si  0.3827  0.5000  0.1925
Si  0.3827  0.5000  0.8075
Si  0.5000  0.0000  0.2500
Si  0.5000  0.0000  0.7500
Si  0.5000  0.1925  0.3827
Si  0.5000  0.1925  0.6173
Si  0.5000  0.8075  0.3827
Si  0.5000  0.8075  0.6173
Si  0.6173  0.5000  0.1925
Si  0.6173  0.5000  0.8075
Si  0.6838  0.3162  0.3162
Si  0.6838  0.3162  0.6838
Si  0.6838  0.6838  0.3162
Si  0.6838  0.6838  0.6838
Si  0.6925  0.0000  0.1173
Si  0.6925  0.0000  0.8827
Si  0.7500  0.5000  0.0000
Si  0.8075  0.3827  0.5000
Si  0.8075  0.6173  0.5000
Si  0.8162  0.1838  0.1838
Si  0.8162  0.1838  0.8162
Si  0.8162  0.8162  0.1838
Si  0.8162  0.8162  0.8162
Si  0.8827  0.3075  0.0000
Si  0.8827  0.6925  0.0000
Hg  0.0000  0.5000  0.2500
Hg  0.0000  0.5000  0.7500
Hg  0.2500  0.0000  0.5000
Hg  0.5000  0.2500  0.0000
Hg  0.5000  0.7500  0.0000
Hg  0.7500  0.0000  0.5000

***

Entry 8:
For SiHg7, a cell relaxed with GGA-PBE gives the computed powder X-ray diffraction pattern in this record (CuKα).
Neutral-atom scattering factors, no anomalous dispersion.

Most intense lines, 10 to 90 degrees two-theta, low angle first:
5.318 Å, intensity 74; 4.605 Å, intensity 40; 3.256 Å, intensity 36; 2.777 Å, intensity 48; 2.659 Å, intensity 1000; 2.303 Å, intensity 504; 1.628 Å, intensity 350; 1.389 Å, intensity 416; 1.329 Å, intensity 121; 1.151 Å, intensity 59

Crystal structure
Cell: 6.5129 6.5129 6.5129 Å, 60.00 60.00 60.00°
Fractional positions:
Si  0.0000  0.0000  0.0000
Hg  0.0000  0.0000  0.5000
Hg  0.0000  0.5000  0.0000
Hg  0.0000  0.5000  0.5000
Hg  0.5000  0.0000  0.0000
Hg  0.5000  0.0000  0.5000
Hg  0.5000  0.5000  0.0000
Hg  0.5000  0.5000  0.5000

***

Entry 9:
For Si23Hg4, a cell relaxed with GGA-PBE gives the computed powder X-ray diffraction pattern in this record (CuKα).
Neutral-atom scattering factors, no anomalous dispersion.

Most intense lines, 10 to 90 degrees two-theta, low angle first:
5.142 Å, intensity 183; 4.600 Å, intensity 513; 4.199 Å, intensity 444; 2.969 Å, intensity 243; 2.853 Å, intensity 478; 2.749 Å, intensity 1000; 2.571 Å, intensity 283; 1.910 Å, intensity 209; 1.668 Å, intensity 384; 1.400 Å, intensity 173

Crystal structure
Cell: 10.2849 10.2849 10.2849 Å, 90.00 90.00 90.00°
Fractional positions:
Si  0.0000  0.1175  0.3077
Si  0.0000  0.1175  0.6923
Si  0.0000  0.2500  0.5000
Si  0.0000  0.7500  0.5000
Si  0.0000  0.8825  0.3077
Si  0.0000  0.8825  0.6923
Si  0.1175  0.3077  0.0000
Si  0.1175  0.6923  0.0000
Si  0.1839  0.1839  0.1839
Si  0.1839  0.1839  0.8161
Si  0.1839  0.8161  0.1839
Si  0.1839  0.8161  0.8161
Si  0.1923  0.3825  0.5000
Si  0.1923  0.6175  0.5000
Si  0.2500  0.5000  0.0000
Si  0.3077  0.0000  0.1175
Si  0.3077  0.0000  0.8825
Si  0.3161  0.3161  0.3161
Si  0.3161  0.3161  0.6839
Si  0.3161  0.6839  0.3161
Si  0.3161  0.6839  0.6839
Si  0.3825  0.5000  0.1923
Si  0.3825  0.5000  0.8077
Si  0.5000  0.0000  0.2500
Si  0.5000  0.0000  0.7500
Si  0.5000  0.1923  0.3825
Si  0.5000  0.1923  0.6175
Si  0.5000  0.8077  0.3825
Si  0.5000  0.8077  0.6175
Si  0.6175  0.5000  0.1923
Si  0.6175  0.5000  0.8077
Si  0.6839  0.3161  0.3161
Si  0.6839  0.3161  0.6839
Si  0.6839  0.6839  0.3161
Si  0.6839  0.6839  0.6839
Si  0.6923  0.0000  0.1175
Si  0.6923  0.0000  0.8825
Si  0.7500  0.5000  0.0000
Si  0.8077  0.3825  0.5000
Si  0.8077  0.6175  0.5000
Si  0.8161  0.1839  0.1839
Si  0.8161  0.1839  0.8161
Si  0.8161  0.8161  0.1839
Si  0.8161  0.8161  0.8161
Si  0.8825  0.3077  0.0000
Si  0.8825  0.6923  0.0000
Hg  0.0000  0.0000  0.0000
Hg  0.0000  0.5000  0.2500
Hg  0.0000  0.5000  0.7500
Hg  0.2500  0.0000  0.5000
Hg  0.5000  0.2500  0.0000
Hg  0.5000  0.5000  0.5000
Hg  0.5000  0.7500  0.0000
Hg  0.7500  0.0000  0.5000

***

Entry 10:
For Si3Hg, a cell relaxed with GGA-PBE gives the computed powder X-ray diffraction pattern in this record (CuKα).
Neutral-atom scattering factors, no anomalous dispersion.

Most intense lines, 10 to 90 degrees two-theta, low angle first:
5.131 Å, intensity 658; 3.421 Å, intensity 371; 2.565 Å, intensity 242; 2.475 Å, intensity 439; 2.406 Å, intensity 621; 2.229 Å, intensity 1000; 2.005 Å, intensity 274; 1.781 Å, intensity 368; 1.580 Å, intensity 224; 1.407 Å, intensity 182

Crystal structure
Cell: 2.8576 2.8576 10.2617 Å, 90.00 90.00 120.00°
Fractional positions:
Si  0.0000  0.0000  0.0000
Si  0.6667  0.3333  0.2046
Si  0.6667  0.3333  0.7954
Hg  0.0000  0.0000  0.5000

***

Entry 11:
For SiHg3, a cell relaxed with GGA-PBE gives the computed powder X-ray diffraction pattern in this record (CuKα).
Neutral-atom scattering factors, no anomalous dispersion.

Most intense lines, 10 to 90 degrees two-theta, low angle first:
3.897 Å, intensity 222; 3.231 Å, intensity 301; 3.147 Å, intensity 365; 3.093 Å, intensity 540; 3.029 Å, intensity 1000; 2.890 Å, intensity 293; 2.627 Å, intensity 205; 2.155 Å, intensity 210; 2.129 Å, intensity 215; 1.780 Å, intensity 321

Crystal structure
Cell: 7.7940 10.6696 5.7801 Å, 90.00 90.00 90.00°
Fractional positions:
Si  0.0650  0.2500  0.0201
Si  0.4350  0.7500  0.5201
Si  0.5650  0.2500  0.4799
Si  0.9350  0.7500  0.9799
Hg  0.0273  0.0753  0.3110
Hg  0.0273  0.4247  0.3110
Hg  0.1779  0.7500  0.2623
Hg  0.3221  0.2500  0.7623
Hg  0.4727  0.5753  0.8110
Hg  0.4727  0.9247  0.8110
Hg  0.5273  0.0753  0.1890
Hg  0.5273  0.4247  0.1890
Hg  0.6779  0.7500  0.2377
Hg  0.8221  0.2500  0.7377
Hg  0.9727  0.5753  0.6890
Hg  0.9727  0.9247  0.6890

***

Entry 12:
For Sr3Si2Hg4, a cell relaxed with GGA-PBE gives the computed powder X-ray diffraction pattern in this record (CuKα).
Neutral-atom scattering factors, no anomalous dispersion.

Most intense lines, 10 to 90 degrees two-theta, low angle first:
4.269 Å, intensity 418; 3.298 Å, intensity 278; 2.982 Å, intensity 423; 2.947 Å, intensity 1000; 2.388 Å, intensity 667; 2.335 Å, intensity 463; 2.134 Å, intensity 236; 2.084 Å, intensity 257; 1.838 Å, intensity 209; 1.591 Å, intensity 353

Crystal structure
Cell: 6.4042 6.4042 9.3680 Å, 105.97 105.97 42.76°
Fractional positions:
Sr  0.0000  0.0000  0.0000
Sr  0.3302  0.3302  0.3473
Sr  0.6698  0.6698  0.6527
Si  0.3934  0.3934  0.7252
Si  0.6066  0.6066  0.2748
Hg  0.0475  0.0475  0.3726
Hg  0.2772  0.2772  0.9263
Hg  0.7228  0.7228  0.0737
Hg  0.9525  0.9525  0.6274